(1)
# NpPS4
Simulated PXRD pattern, λ = 1.5418 Å (Cu Kα). Input: the PBE geometry in OQMD.

Structure:
Lattice parameters (Å, degrees): 10.918 10.918 18.977 90.00 90.00 90.00
Space group I4_1/acd (No. 142, origin choice 2)
Unique sites:
Np 0.000 0.250 0.125
Np 0.000 0.250 0.375
P 0.037 0.000 0.250
S 0.067 0.004 0.840
S 0.090 0.115 0.003

Largest 12 diffraction maxima, by intensity, 10 to 90 degrees two-theta:
hkl  two_theta  I (rel.)
2 0 0  16.24  100
4 2 4  41.57  72
2 0 4  24.86  66
2 2 4  29.84  59
4 0 4  38.03  39
4 2 0  36.81  33
6 0 4  53.92  28
0 0 4  18.71  24
2 2 0  23.04  22
4 0 0  32.80  21
6 2 4  56.75  19
6 4 8  74.35  17

***

(2)
# NpP4S12
Simulated PXRD pattern, λ = 1.5418 Å (Cu Kα). Input: the PBE geometry in OQMD.

Structure:
Lattice parameters (Å, degrees): 13.111 13.111 9.839 90.00 90.00 90.00
Space group I4_1/a (No. 88, origin choice 2)
Unique sites:
Np 0.000 0.250 0.125
P 0.006 0.066 0.380
S 0.065 0.418 0.575
S 0.082 0.368 0.905
S 0.092 0.428 0.225

Largest 12 diffraction maxima, by intensity, 10 to 90 degrees two-theta:
hkl  two_theta  I (rel.)
2 1 1  17.61  100
2 0 0  13.51  73
1 3 2  28.15  37
1 0 1  11.24  34
4 1 3  39.51  31
3 3 2  34.24  29
2 3 1  26.13  24
2 1 3  31.25  20
2 4 0  30.49  20
2 3 3  36.91  18
4 3 1  35.43  18
1 1 2  20.44  17